Structure and calculated PXRD pattern of VP3O9 (a GGA+U-relaxed structure; Cu Kα, 1.54184 Å).
Intensities are scaled so that the largest is 100.

Largest 12 diffraction maxima, most intense first, 10° ≤ 2θ ≤ 80°:
2theta  intensity
22.4  100
25.4  51
28.4  15
31.3  14
35.9  12
32.0  11
36.1  11
16.4  10
23.6  10
26.7  9
39.5  9
52.2  8

Atomic structure:
a = 7.482 Å, b = 7.482 Å, c = 9.623 Å
α = 122.63°, β = 122.63°, γ = 51.99°
Element x y z (fractional)
V 0.241 0.759 0.500
V 0.759 0.241 0.000
P 0.199 0.312 0.763
P 0.312 0.199 0.263
P 0.554 0.726 0.325
P 0.726 0.554 0.825
P 0.760 0.963 0.175
P 0.963 0.760 0.675
O 0.003 0.442 0.854
O 0.093 0.844 0.666
O 0.107 0.175 0.103
O 0.149 0.505 0.704
O 0.175 0.107 0.603
O 0.265 0.432 0.406
O 0.387 0.688 0.335
O 0.432 0.265 0.906
O 0.442 0.003 0.354
O 0.505 0.149 0.204
O 0.578 0.632 0.666
O 0.632 0.578 0.166
O 0.686 0.786 0.990
O 0.688 0.387 0.835
O 0.786 0.686 0.490
O 0.839 0.921 0.811
O 0.844 0.093 0.166
O 0.921 0.839 0.311



Structure and calculated PXRD pattern of VP6W3O24 (a GGA+U-relaxed structure; Cu Kα, 1.54184 Å).
Intensities are scaled so that the largest is 100.

Largest 12 diffraction maxima, most intense first, 10° ≤ 2θ ≤ 80°:
2theta  intensity
19.9  100
20.2  82
28.5  56
14.1  42
31.8  41
23.6  38
35.2  35
35.4  28
46.1  20
52.3  20
55.3  20
45.6  16

Atomic structure:
a = 8.925 Å, b = 8.925 Å, c = 8.925 Å
α = 58.98°, β = 58.98°, γ = 58.98°
Element x y z (fractional)
V 0.000 0.000 0.000
P 0.108 0.390 0.823
P 0.318 0.895 0.612
P 0.390 0.823 0.108
P 0.612 0.318 0.895
P 0.823 0.108 0.390
P 0.895 0.612 0.318
W 0.216 0.216 0.216
W 0.501 0.501 0.501
W 0.716 0.716 0.716
O 0.070 0.435 0.300
O 0.082 0.224 0.850
O 0.139 0.368 0.991
O 0.146 0.917 0.778
O 0.224 0.850 0.082
O 0.277 0.426 0.646
O 0.300 0.070 0.435
O 0.354 0.727 0.573
O 0.368 0.991 0.139
O 0.426 0.646 0.277
O 0.435 0.300 0.070
O 0.493 0.866 0.636
O 0.572 0.795 0.938
O 0.573 0.354 0.727
O 0.636 0.493 0.866
O 0.646 0.277 0.426
O 0.727 0.573 0.354
O 0.778 0.146 0.917
O 0.795 0.938 0.572
O 0.850 0.082 0.224
O 0.866 0.636 0.493
O 0.917 0.778 0.146
O 0.938 0.572 0.795
O 0.991 0.139 0.368



Structure and calculated PXRD pattern of VZnP2O7 (a GGA+U-relaxed structure; Cu Kα, 1.54184 Å).
Intensities are scaled so that the largest is 100.

Largest 12 diffraction maxima, most intense first, 10° ≤ 2θ ≤ 80°:
2theta  intensity
30.2  100
28.7  75
29.1  61
28.6  39
28.9  34
43.9  28
41.3  28
33.9  26
56.7  23
41.8  19
34.7  17
20.0  16

Atomic structure:
a = 5.570 Å, b = 6.567 Å, c = 7.422 Å
α = 81.01°, β = 85.18°, γ = 72.07°
Element x y z (fractional)
V 0.227 0.340 0.312
V 0.773 0.660 0.688
Zn 0.173 0.848 0.848
Zn 0.827 0.152 0.152
P 0.275 0.304 0.889
P 0.302 0.815 0.409
P 0.698 0.185 0.591
P 0.725 0.696 0.111
O 0.110 0.151 0.928
O 0.121 0.541 0.830
O 0.142 0.041 0.327
O 0.180 0.640 0.401
O 0.394 0.815 0.600
O 0.437 0.229 0.711
O 0.444 0.284 0.049
O 0.556 0.716 0.951
O 0.563 0.771 0.289
O 0.606 0.185 0.400
O 0.820 0.360 0.599
O 0.858 0.959 0.673
O 0.879 0.459 0.170
O 0.890 0.849 0.072



Structure and calculated PXRD pattern of V4ZnP6O24 (a GGA+U-relaxed structure; Cu Kα, 1.54184 Å).
Intensities are scaled so that the largest is 100.

Largest 12 diffraction maxima, most intense first, 10° ≤ 2θ ≤ 80°:
2theta  intensity
30.3  100
29.6  71
16.4  69
12.0  62
22.5  48
15.6  47
29.2  43
29.8  38
20.1  37
33.2  33
29.3  31
22.0  31

Atomic structure:
a = 6.246 Å, b = 8.231 Å, c = 9.463 Å
α = 109.37°, β = 106.51°, γ = 101.06°
Element x y z (fractional)
V 0.056 0.218 0.022
V 0.376 0.978 0.619
V 0.624 0.022 0.381
V 0.944 0.782 0.978
Zn 0.000 0.500 0.500
P 0.109 0.107 0.336
P 0.216 0.661 0.261
P 0.382 0.741 0.847
P 0.618 0.259 0.153
P 0.784 0.339 0.739
P 0.891 0.893 0.664
O 0.016 0.696 0.147
O 0.078 0.045 0.153
O 0.102 0.014 0.652
O 0.146 0.305 0.411
O 0.200 0.462 0.199
O 0.220 0.728 0.438
O 0.236 0.795 0.957
O 0.255 0.552 0.717
O 0.325 0.051 0.419
O 0.367 0.231 0.034
O 0.425 0.880 0.772
O 0.454 0.776 0.266
O 0.546 0.224 0.734
O 0.575 0.120 0.228
O 0.633 0.769 0.966
O 0.675 0.949 0.581
O 0.745 0.448 0.283
O 0.764 0.205 0.043
O 0.780 0.272 0.562
O 0.800 0.538 0.801
O 0.854 0.695 0.589
O 0.898 0.986 0.348
O 0.922 0.955 0.847
O 0.984 0.304 0.853



Structure and calculated PXRD pattern of VZnP2O7 (a GGA+U-relaxed structure; Cu Kα, 1.54184 Å).
Intensities are scaled so that the largest is 100.

Largest 12 diffraction maxima, most intense first, 10° ≤ 2θ ≤ 80°:
2theta  intensity
28.7  100
32.8  96
28.6  69
29.8  63
14.6  54
29.5  52
27.8  48
38.3  33
27.5  32
42.2  30
39.0  29
18.9  23

Atomic structure:
a = 6.546 Å, b = 6.621 Å, c = 6.719 Å
α = 80.01°, β = 65.07°, γ = 80.15°
Element x y z (fractional)
V 0.108 0.170 0.270
V 0.892 0.830 0.730
Zn 0.319 0.328 0.621
Zn 0.681 0.672 0.379
P 0.221 0.659 0.264
P 0.357 0.882 0.813
P 0.643 0.118 0.187
P 0.779 0.341 0.736
O 0.068 0.846 0.373
O 0.075 0.509 0.249
O 0.196 0.782 0.767
O 0.275 0.107 0.877
O 0.387 0.561 0.373
O 0.393 0.747 0.025
O 0.397 0.137 0.364
O 0.603 0.863 0.636
O 0.607 0.253 0.975
O 0.613 0.439 0.627
O 0.725 0.893 0.123
O 0.804 0.218 0.233
O 0.925 0.491 0.751
O 0.932 0.154 0.627



Structure and calculated PXRD pattern of V2Zn3P4O18 (a GGA+U-relaxed structure; Cu Kα, 1.54184 Å).
Intensities are scaled so that the largest is 100.

Largest 12 diffraction maxima, most intense first, 10° ≤ 2θ ≤ 80°:
2theta  intensity
23.7  100
18.9  93
24.5  43
24.3  42
31.9  40
41.0  33
28.6  29
13.7  29
45.3  28
32.1  20
36.5  18
43.2  17

Atomic structure:
a = 7.843 Å, b = 7.843 Å, c = 7.804 Å
α = 111.15°, β = 111.15°, γ = 106.30°
Element x y z (fractional)
V 0.249 0.751 0.000
V 0.751 0.249 0.000
Zn 0.031 0.794 0.500
Zn 0.530 0.530 0.714
Zn 0.794 0.031 0.500
P 0.074 0.451 0.500
P 0.451 0.074 0.500
P 0.566 0.566 0.118
P 0.962 0.962 0.896
O 0.080 0.579 0.999
O 0.121 0.660 0.697
O 0.162 0.956 0.032
O 0.263 0.959 0.500
O 0.273 0.489 0.503
O 0.432 0.631 0.966
O 0.459 0.459 0.199
O 0.466 0.929 0.304
O 0.489 0.273 0.503
O 0.579 0.080 0.999
O 0.631 0.432 0.966
O 0.660 0.121 0.697
O 0.770 0.770 0.812
O 0.775 0.775 0.287
O 0.929 0.466 0.304
O 0.956 0.162 0.032
O 0.959 0.263 0.500
O 0.988 0.988 0.717



Structure and calculated PXRD pattern of VZnP2O7 (a GGA+U-relaxed structure; Cu Kα, 1.54184 Å).
Intensities are scaled so that the largest is 100.

Largest 12 diffraction maxima, most intense first, 10° ≤ 2θ ≤ 80°:
2theta  intensity
29.0  100
29.3  71
29.1  62
41.9  35
34.5  30
34.3  27
22.7  22
57.3  21
40.9  17
44.0  12
56.0  11
21.0  11

Atomic structure:
a = 7.115 Å, b = 8.561 Å, c = 9.194 Å
α = 90.00°, β = 113.07°, γ = 90.00°
Element x y z (fractional)
V 0.236 0.074 0.110
V 0.236 0.426 0.610
V 0.764 0.574 0.390
V 0.764 0.926 0.890
Zn 0.302 0.057 0.684
Zn 0.302 0.443 0.184
Zn 0.698 0.557 0.816
Zn 0.698 0.943 0.316
P 0.061 0.733 0.742
P 0.061 0.767 0.242
P 0.467 0.724 0.030
P 0.467 0.776 0.530
P 0.533 0.224 0.470
P 0.533 0.276 0.970
P 0.939 0.233 0.758
P 0.939 0.267 0.258
O 0.026 0.600 0.623
O 0.026 0.900 0.123
O 0.111 0.611 0.188
O 0.111 0.889 0.688
O 0.116 0.239 0.701
O 0.116 0.261 0.201
O 0.251 0.676 0.899
O 0.251 0.824 0.399
O 0.379 0.229 0.549
O 0.379 0.271 0.049
O 0.451 0.616 0.601
O 0.451 0.884 0.101
O 0.489 0.091 0.348
O 0.489 0.409 0.848
O 0.511 0.591 0.152
O 0.511 0.909 0.652
O 0.549 0.116 0.899
O 0.549 0.384 0.399
O 0.621 0.729 0.951
O 0.621 0.771 0.451
O 0.749 0.176 0.601
O 0.749 0.324 0.101
O 0.884 0.739 0.799
O 0.884 0.761 0.299
O 0.889 0.111 0.312
O 0.889 0.389 0.812
O 0.974 0.100 0.877
O 0.974 0.400 0.377



Structure and calculated PXRD pattern of VZn2P2O9 (a GGA+U-relaxed structure; Cu Kα, 1.54184 Å).
Intensities are scaled so that the largest is 100.

Largest 12 diffraction maxima, most intense first, 10° ≤ 2θ ≤ 80°:
2theta  intensity
19.3  100
24.0  95
23.8  93
31.3  68
44.6  39
36.7  34
41.7  33
27.9  29
37.1  28
39.9  22
57.1  20
51.5  19

Atomic structure:
a = 7.883 Å, b = 7.883 Å, c = 7.883 Å
α = 109.99°, β = 109.99°, γ = 108.44°
Element x y z (fractional)
V 0.000 0.000 0.000
V 0.500 0.500 0.000
Zn 0.219 0.719 0.262
Zn 0.457 0.957 0.738
Zn 0.719 0.457 0.500
Zn 0.957 0.219 0.500
P 0.177 0.677 0.886
P 0.291 0.177 0.500
P 0.677 0.791 0.500
P 0.791 0.291 0.114
O 0.088 0.122 0.310
O 0.122 0.812 0.034
O 0.176 0.176 0.000
O 0.264 0.972 0.500
O 0.278 0.312 0.690
O 0.286 0.786 0.800
O 0.312 0.622 0.034
O 0.472 0.764 0.500
O 0.485 0.286 0.500
O 0.588 0.278 0.966
O 0.622 0.588 0.310
O 0.676 0.676 0.000
O 0.764 0.264 0.292
O 0.778 0.088 0.966
O 0.786 0.985 0.500
O 0.812 0.778 0.690
O 0.972 0.472 0.708
O 0.985 0.485 0.200